[1]
For K3Nb2Ag3S8, a crystal structure in Alexandria, relaxed with GGA-PBE gives the theoretical powder diffraction line list in this record (a wavelength of 1.5418 Å).

Atomic structure:
a = 25.006 Å, b = 5.995 Å, c = 14.020 Å
α = 90.00°, β = 117.93°, γ = 90.00°
Space group C2/c (No. 15)
Inequivalent atoms, fractional coordinates:
1 K 0.000 0.000 0.000
2 K 0.199 0.388 0.109
3 Nb 0.127 0.320 0.780
4 Ag 0.000 0.330 0.750
5 Ag 0.128 0.179 0.289
6 S 0.049 0.458 0.153
7 S 0.095 0.113 0.884
8 S 0.159 0.096 0.683
9 S 0.208 0.469 0.394

The 12 most intense peaks (2θ from 10° to 90°), by angle:
2theta	Rel. int.	index
12.7	28	2 0 -2
14.3	100	0 0 2
15.7	33	4 0 -2
16.1	37	4 0 0
26.0	18	2 0 -4
26.2	32	4 0 2
27.2	16	3 1 2
31.7	17	8 0 -4
32.4	14	8 0 0
33.2	22	0 2 2
37.1	20	0 2 3
42.6	18	8 2 -1

***

[2]
For KNdAgTe2, a crystal structure in Alexandria, relaxed with GGA-PBE gives the theoretical powder diffraction line list in this record (a wavelength of 1.5418 Å).

Atomic structure:
a = 8.291 Å, b = 4.987 Å, c = 8.905 Å
α = 90.00°, β = 96.80°, γ = 90.00°
Space group P2/c (No. 13)
Inequivalent atoms, fractional coordinates:
1 K 0.000 0.114 0.250
2 Nd 0.500 0.495 0.750
3 Ag 0.500 0.000 0.000
4 Te 0.244 0.366 0.973

The 12 most intense peaks (2θ from 10° to 90°), by angle:
2theta	Rel. int.	index
10.7	100	1 0 0
17.8	22	0 1 0
22.6	21	1 1 -1
23.7	37	1 1 1
27.8	27	2 0 -2
28.1	45	1 1 -2
30.0	55	1 1 2
33.2	51	2 1 -2
36.3	38	2 1 2
37.7	27	1 2 0
40.8	43	0 0 4
44.0	23	4 0 0

***

[3]
For KNp2AgS4, a crystal structure in Alexandria, relaxed with GGA-PBE gives the theoretical powder diffraction line list in this record (a wavelength of 1.5418 Å).

Atomic structure:
a = 4.084 Å, b = 13.454 Å, c = 14.167 Å
α = 90.00°, β = 90.00°, γ = 90.00°
Space group Cmcm (No. 63)
Inequivalent atoms, fractional coordinates:
1 K 0.000 0.115 0.250
2 Np 0.000 0.370 0.062
3 Ag 0.000 0.164 0.750
4 S 0.000 0.000 0.000
5 S 0.000 0.263 0.601
6 S 0.000 0.443 0.250

The 12 most intense peaks (2θ from 10° to 90°), by angle:
2theta	Rel. int.	index
12.5	39	0 0 2
14.6	100	0 2 1
22.8	30	1 1 0
23.0	62	0 2 3
26.0	51	1 1 2
26.5	42	0 4 0
29.7	75	1 1 3
32.2	95	1 3 2
34.3	53	0 2 5
35.3	29	1 3 3
44.4	28	2 0 0
44.7	78	1 5 3

***

[4]
For KNp3Ag2S8, a crystal structure in Alexandria, relaxed with GGA-PBE gives the theoretical powder diffraction line list in this record (a wavelength of 1.5418 Å).

Atomic structure:
a = 8.2677 Å, b = 8.2677 Å, c = 18.3712 Å
α = 90.00°, β = 90.00°, γ = 120.00°
Space group R3m (No. 160, hexagonal axes)
Inequivalent atoms, fractional coordinates:
1 K 0.0000 0.0000 0.0000
2 Np 0.1688 0.3376 0.4185
3 Ag 0.0000 0.0000 0.2066
4 Ag 0.0000 0.0000 0.5582
5 S 0.0000 0.0000 0.3454
6 S 0.0000 0.0000 0.8263
7 S 0.0661 0.5330 0.3397
8 S 0.1698 0.3396 0.1531

The 12 most intense peaks (2θ from 10° to 90°), by angle:
2theta	Rel. int.	index
13.3	65	1 0 1
14.5	87	0 0 3
25.3	100	0 2 1
26.0	70	1 1 3
26.7	61	2 0 2
27.3	29	0 1 5
31.7	99	0 2 4
41.4	27	1 2 5
42.7	34	0 2 7
43.8	69	2 2 0
46.4	30	2 2 3
47.0	44	2 0 8

***

[5]
For K2Np3AgSe8, a crystal structure in Alexandria, relaxed with GGA-PBE gives the theoretical powder diffraction line list in this record (a wavelength of 1.5418 Å).

Atomic structure:
a = 8.2318 Å, b = 8.2318 Å, c = 24.6915 Å
α = 90.00°, β = 90.00°, γ = 120.00°
Space group R3m (No. 160, hexagonal axes)
Inequivalent atoms, fractional coordinates:
1 K 0.0000 0.0000 0.0000
2 K 0.0000 0.0000 0.3547
3 Np 0.1683 0.3367 0.1888
4 Ag 0.0000 0.0000 0.8450
5 Se 0.0000 0.0000 0.1279
6 Se 0.0000 0.0000 0.5853
7 Se 0.0166 0.5083 0.1252
8 Se 0.1752 0.3503 0.9177

The 12 most intense peaks (2θ from 10° to 90°), by angle:
2theta	Rel. int.	index
10.7	100	0 0 3
25.2	23	0 2 1
28.9	62	0 2 4
35.8	32	0 2 7
38.6	22	2 0 8
44.0	27	2 2 0
45.4	18	2 2 3
47.9	15	2 0 11
53.5	11	4 0 4
58.0	8	4 0 7
71.7	9	2 4 4
73.7	8	2 2 15

***

[6]
For K9Ag3O2, a crystal structure in Alexandria, relaxed with GGA-PBE gives the theoretical powder diffraction line list in this record (a wavelength of 1.5418 Å).

Atomic structure:
a = 7.7870 Å, b = 7.7870 Å, c = 9.6314 Å
α = 90.00°, β = 90.00°, γ = 120.00°
Space group P-3m1 (No. 164)
Inequivalent atoms, fractional coordinates:
1 K 0.0000 0.5000 0.0000
2 K 0.1787 0.3574 0.6867
3 Ag 0.0000 0.0000 0.0000
4 Ag 0.3333 0.6667 0.3502
5 O 0.3333 0.6667 0.8409

The 12 most intense peaks (2θ from 10° to 90°), by angle:
2theta	Rel. int.	index
16.0	28	0 1 1
22.7	25	1 0 2
22.8	24	1 1 0
27.8	32	0 0 3
28.0	100	2 0 1
32.4	80	0 2 2
40.0	17	3 0 0
46.3	24	2 0 4
46.7	26	2 2 0
55.2	24	2 2 3
55.3	12	0 4 1
58.0	12	4 0 2

***

[7]
For KAg5O4, a crystal structure in Alexandria, relaxed with GGA-PBE gives the theoretical powder diffraction line list in this record (a wavelength of 1.5418 Å).

Atomic structure:
a = 6.913 Å, b = 8.856 Å, c = 5.813 Å
α = 90.00°, β = 90.00°, γ = 90.00°
Space group Pmmn (No. 59, origin choice 2)
Inequivalent atoms, fractional coordinates:
1 K 0.250 0.250 0.244
2 Ag 0.051 0.082 0.718
3 Ag 0.250 0.750 0.774
4 O 0.028 0.750 0.044
5 O 0.250 0.540 0.493

The 12 most intense peaks (2θ from 10° to 90°), by angle:
2theta	Rel. int.	index
20.0	50	1 0 1
25.8	13	2 0 0
30.8	48	0 0 2
31.8	79	2 1 1
32.9	25	2 2 0
34.1	100	0 3 1
42.2	13	3 0 1
45.7	46	2 2 2
47.1	16	3 2 1
48.8	13	2 4 0
56.8	18	0 3 3
60.1	12	3 4 1

***

[8]
For KAgOsO4, a crystal structure in Alexandria, relaxed with GGA-PBE gives the theoretical powder diffraction line list in this record (a wavelength of 1.5418 Å).

Atomic structure:
a = 9.304 Å, b = 9.304 Å, c = 9.304 Å
α = 90.00°, β = 90.00°, γ = 90.00°
Space group F-43m (No. 216)
Inequivalent atoms, fractional coordinates:
1 K 0.000 0.000 0.000
2 Ag 0.250 0.250 0.750
3 Os 0.000 0.000 0.500
4 O 0.112 0.112 0.612

The 12 most intense peaks (2θ from 10° to 90°), by angle:
2theta	Rel. int.	index
16.5	90	1 1 1
19.1	16	2 0 0
27.1	100	2 2 0
31.9	26	3 1 1
38.7	13	4 0 0
42.3	24	3 3 1
47.9	41	4 2 2
55.9	17	4 4 0
58.7	17	5 3 1
63.2	17	6 2 0
76.6	20	6 4 2
89.4	11	6 6 0